(1)
Simulated X-ray diffraction stick pattern of Nd5As2ClO10 for a wavelength of 1.5418 Å, from DFT lattice parameters and positions (GGA-PBE).
Intensities are scaled so that the largest is 100.

```
Nd5As2ClO10
1.0
6.2672 -2.8711 0.0000
6.2672 2.8711 0.0000
-4.0329 0.0000 8.1762
Nd As Cl O
5 2 1 10
direct
0.0000 0.0000 0.0000 Nd
0.2536 0.2536 0.8724 Nd
0.4997 0.4997 0.2920 Nd
0.5003 0.5003 0.7080 Nd
0.7464 0.7464 0.1276 Nd
0.2149 0.2149 0.3926 As
0.7851 0.7851 0.6074 As
0.0000 0.0000 0.5000 Cl
0.0943 0.6231 0.7533 O
0.1331 0.6260 0.0842 O
0.3602 0.3602 0.3993 O
0.3740 0.8669 0.9158 O
0.3769 0.9057 0.2467 O
0.6231 0.0943 0.7533 O
0.6260 0.1331 0.0842 O
0.6398 0.6398 0.6007 O
0.8669 0.3740 0.9158 O
0.9057 0.3769 0.2467 O
```

Main lines, most intense first (2θ from 15° to 90°):
two_theta  I/Imax
30.6  100
28.7  100
31.2  40
45.1  38
26.4  29
31.8  27



(2)
Simulated X-ray diffraction stick pattern of La3SbO7 for a wavelength of 1.5418 Å, from DFT lattice parameters and positions (GGA-PBE).
Intensities are scaled so that the largest is 100.

```
La3SbO7
1.0
7.8095 0.0000 0.0000
0.0000 11.2111 0.0000
0.0000 0.0000 7.7180
La Sb O
12 4 28
direct
0.0023 0.2500 0.2340 La
0.2474 0.0218 0.5448 La
0.2474 0.4782 0.5448 La
0.2526 0.5218 0.0448 La
0.2526 0.9782 0.0448 La
0.4977 0.7500 0.7340 La
0.5023 0.2500 0.2660 La
0.7474 0.0218 0.9552 La
0.7474 0.4782 0.9552 La
0.7526 0.5218 0.4552 La
0.7526 0.9782 0.4552 La
0.9977 0.7500 0.7660 La
0.0024 0.7500 0.2482 Sb
0.4976 0.2500 0.7482 Sb
0.5024 0.7500 0.2518 Sb
0.9976 0.2500 0.7518 Sb
0.0320 0.1267 0.9403 O
0.0320 0.3733 0.9403 O
0.0373 0.6219 0.4261 O
0.0373 0.8781 0.4261 O
0.2470 0.2500 0.6708 O
0.2502 0.1191 0.2735 O
0.2502 0.3809 0.2735 O
0.2498 0.6191 0.7735 O
0.2498 0.8809 0.7735 O
0.2530 0.7500 0.1708 O
0.4627 0.1219 0.9261 O
0.4627 0.3781 0.9261 O
0.4680 0.6267 0.4403 O
0.4680 0.8733 0.4403 O
0.5320 0.1267 0.5597 O
0.5320 0.3733 0.5597 O
0.5373 0.6219 0.0739 O
0.5373 0.8781 0.0739 O
0.7470 0.2500 0.8292 O
0.7502 0.1191 0.2265 O
0.7502 0.3809 0.2265 O
0.7498 0.6191 0.7265 O
0.7498 0.8809 0.7265 O
0.7530 0.7500 0.3292 O
0.9627 0.1219 0.5739 O
0.9627 0.3781 0.5739 O
0.9680 0.6267 0.0597 O
0.9680 0.8733 0.0597 O
```

Main lines, most intense first (2θ from 15° to 90°):
two_theta  I/Imax
27.8  100
28.1  90
46.3  50
32.6  42
55.2  27
31.9  23



Repeat the second record exactly.
Simulated X-ray diffraction stick pattern of La3SbO7 for a wavelength of 1.5418 Å, from DFT lattice parameters and positions (GGA-PBE).
Intensities are scaled so that the largest is 100.

```
La3SbO7
1.0
7.8095 0.0000 0.0000
0.0000 11.2111 0.0000
0.0000 0.0000 7.7180
La Sb O
12 4 28
direct
0.0023 0.2500 0.2340 La
0.2474 0.0218 0.5448 La
0.2474 0.4782 0.5448 La
0.2526 0.5218 0.0448 La
0.2526 0.9782 0.0448 La
0.4977 0.7500 0.7340 La
0.5023 0.2500 0.2660 La
0.7474 0.0218 0.9552 La
0.7474 0.4782 0.9552 La
0.7526 0.5218 0.4552 La
0.7526 0.9782 0.4552 La
0.9977 0.7500 0.7660 La
0.0024 0.7500 0.2482 Sb
0.4976 0.2500 0.7482 Sb
0.5024 0.7500 0.2518 Sb
0.9976 0.2500 0.7518 Sb
0.0320 0.1267 0.9403 O
0.0320 0.3733 0.9403 O
0.0373 0.6219 0.4261 O
0.0373 0.8781 0.4261 O
0.2470 0.2500 0.6708 O
0.2502 0.1191 0.2735 O
0.2502 0.3809 0.2735 O
0.2498 0.6191 0.7735 O
0.2498 0.8809 0.7735 O
0.2530 0.7500 0.1708 O
0.4627 0.1219 0.9261 O
0.4627 0.3781 0.9261 O
0.4680 0.6267 0.4403 O
0.4680 0.8733 0.4403 O
0.5320 0.1267 0.5597 O
0.5320 0.3733 0.5597 O
0.5373 0.6219 0.0739 O
0.5373 0.8781 0.0739 O
0.7470 0.2500 0.8292 O
0.7502 0.1191 0.2265 O
0.7502 0.3809 0.2265 O
0.7498 0.6191 0.7265 O
0.7498 0.8809 0.7265 O
0.7530 0.7500 0.3292 O
0.9627 0.1219 0.5739 O
0.9627 0.3781 0.5739 O
0.9680 0.6267 0.0597 O
0.9680 0.8733 0.0597 O
```

Main lines, most intense first (2θ from 15° to 90°):
two_theta  I/Imax
27.8  100
28.1  90
46.3  50
32.6  42
55.2  27
31.9  23